K2Hg9Au3: simulated XRD peak list (λ = 1.5418 Å (Cu Kα)), based on a crystal structure in Alexandria, relaxed with GGA-PBE.
Neutral-atom scattering factors, no anomalous dispersion.

Lattice parameters (Å, degrees): 8.755 8.755 12.234 111.30 111.30 59.51
Sites, in units of the cell vectors:
1 K 0.083 0.252 0.248
2 K 0.252 0.083 0.748
3 K 0.748 0.917 0.252
4 K 0.917 0.748 0.752
5 Hg 0.021 0.865 0.078
6 Hg 0.135 0.979 0.422
7 Hg 0.187 0.357 0.573
8 Hg 0.206 0.582 0.252
9 Hg 0.307 0.480 0.939
10 Hg 0.357 0.187 0.073
11 Hg 0.374 0.626 0.750
12 Hg 0.418 0.794 0.248
13 Hg 0.480 0.307 0.439
14 Hg 0.520 0.693 0.561
15 Hg 0.582 0.206 0.752
16 Hg 0.626 0.374 0.250
17 Hg 0.643 0.813 0.927
18 Hg 0.693 0.520 0.061
19 Hg 0.794 0.418 0.748
20 Hg 0.813 0.643 0.427
21 Hg 0.865 0.021 0.578
22 Hg 0.979 0.135 0.922
23 Au 0.000 0.500 0.000
24 Au 0.163 0.670 0.501
25 Au 0.330 0.837 0.999
26 Au 0.500 0.000 0.500
27 Au 0.670 0.163 0.001
28 Au 0.837 0.330 0.499

Most intense lines, 10 to 80 degrees two-theta, most intense first:
| 2theta | I_rel |
| --- | --- |
| 31.72 | 100 |
| 35.71 | 78 |
| 39.33 | 67 |
| 31.58 | 51 |
| 35.43 | 41 |
| 15.94 | 39 |
| 38.46 | 37 |
| 66.29 | 25 |
| 38.30 | 22 |
| 61.67 | 18 |